Structure and calculated powder XRD pattern of Ti11Pd4Rh9 (a GGA-PBE-relaxed structure; Cu Kα).

Peak list (10 most intense, 2θ = 5–70°, low angle first)
(0 0 1), 30.35°, I 26
(5 1 0), 33.55°, I 11
(4 6 0), 39.77°, I 100
(4 0 1), 40.66°, I 52
(6 2 0), 41.31°, I 12
(5 5 0), 41.51°, I 47
(0 6 1), 42.60°, I 39
(5 1 1), 45.86°, I 24
(3 7 1), 50.83°, I 18
(0 0 2), 63.15°, I 15

Crystal structure
```
data_Ti11Pd4Rh9
_chemical_formula_sum 'Ti22 Pd8 Rh18'
_cell_length_a 13.501
_cell_length_b 18.366
_cell_length_c 2.945
_cell_angle_alpha 90.00
_cell_angle_beta 90.00
_cell_angle_gamma 90.00
_space_group_name_H-M_alt 'C m m m'
_space_group_IT_number 65
_space_group_name_Hall '-C 2 2'
loop_
_atom_site_label
_atom_site_type_symbol
_atom_site_fract_x
_atom_site_fract_y
_atom_site_fract_z
Ti1 Ti 0.000 0.000 0.000
Ti2 Ti 0.000 0.193 0.000
Ti3 Ti 0.000 0.378 0.000
Ti4 Ti 0.196 0.000 0.000
Ti5 Ti 0.236 0.177 0.000
Pd1 Pd 0.171 0.424 0.500
Rh1 Rh 0.000 0.500 0.500
Rh2 Rh 0.109 0.104 0.500
Rh3 Rh 0.110 0.277 0.500
```